Computed powder X-ray diffraction pattern of Ba6Ga2Co11O26 for Cu Ka, from a GGA+U-relaxed structure.
Neutral-atom scattering factors, no anomalous dispersion.

Cell and atoms:
Cell: 5.7256 5.7256 19.1703 Å, 90.00 90.00 120.00°
Space group P-3m1 (No. 164)
One atom of each set of equivalent atoms:
Ba 0.0000 0.0000 0.1934
Ba 0.3333 0.6667 0.3310
Ba 0.3333 0.6667 0.5539
Ga 0.3333 0.6667 0.1492
Co 0.0000 0.0000 0.0000
Co 0.0000 0.0000 0.3720
Co 0.0000 0.0000 0.5000
Co 0.0000 0.5000 0.0000
Co 0.3333 0.6667 0.7296
Co 0.3333 0.6667 0.8784
O 0.0203 0.5102 0.8166
O 0.1479 0.2958 0.4352
O 0.1620 0.3241 0.6866
O 0.1807 0.3613 0.9434
O 0.3333 0.6667 0.0512

Principal peaks in the range 5 to 70 degrees two-theta, most intense first:
31.24°, I 100; 29.45°, I 61; 43.47°, I 45; 65.17°, I 26; 40.99°, I 23; 37.52°, I 22; 54.50°, I 20; 55.60°, I 19; 46.36°, I 19; 36.55°, I 14